For Y11Ta5O28, a structure optimized by DFT (GGA-PBE) gives the simulated X-ray powder pattern in this record (λ = 1.5418 Å (Cu Kα)).
Peak positions follow from Bragg's law for the DFT cell and can differ from measured ones.

Atomic structure:
Cell lengths 24.970, 7.376, 6.445 Å; angles 90.00, 99.95, 90.00 degrees
Space group C2/m (No. 12)
Symmetry-distinct sites (fractional):
Y 0.000 0.000 0.000 (multiplicity 2)
Y 0.000 0.246 0.500 (multiplicity 4)
Y 0.123 0.000 0.780 (multiplicity 4)
Y 0.126 0.500 0.720 (multiplicity 4)
Y 0.241 0.500 0.480 (multiplicity 4)
Y 0.250 0.250 0.000 (multiplicity 4)
Ta 0.000 0.500 0.000 (multiplicity 2)
Ta 0.128 0.235 0.256 (multiplicity 8)
O 0.027 0.000 0.701 (multiplicity 4)
O 0.033 0.500 0.727 (multiplicity 4)
O 0.046 0.301 0.140 (multiplicity 8)
O 0.097 0.000 0.121 (multiplicity 4)
O 0.099 0.223 0.528 (multiplicity 8)
O 0.143 0.500 0.355 (multiplicity 4)
O 0.144 0.274 0.964 (multiplicity 8)
O 0.207 0.222 0.333 (multiplicity 8)
O 0.215 0.000 0.802 (multiplicity 4)
O 0.215 0.500 0.794 (multiplicity 4)

Most intense lines, 10° ≤ 2θ ≤ 90°, in order of rising 2θ:
two_theta	intensity
14.55	17.0
29.05	52.2
29.35	53.2
29.54	100.0
33.95	20.2
34.09	42.3
48.68	33.8
49.07	31.2
57.64	21.0
58.04	26.8

For Y11Ta5O28, a structure optimized by DFT (GGA-PBE) gives the simulated X-ray powder pattern in this record (λ = 1.5418 Å (Cu Kα)).
Peak positions follow from Bragg's law for the DFT cell and can differ from measured ones.

Atomic structure:
Cell lengths 7.476, 7.445, 10.524 Å; angles 90.00, 90.06, 90.00 degrees
Space group Pm (No. 6)
Symmetry-distinct sites (fractional):
Y 0.000 0.000 0.000 (multiplicity 1)
Y 0.001 0.500 0.506 (multiplicity 1)
Y 0.015 0.500 0.022 (multiplicity 1)
Y 0.031 0.000 0.485 (multiplicity 1)
Y 0.233 0.258 0.756 (multiplicity 2)
Y 0.482 0.500 0.016 (multiplicity 1)
Y 0.518 0.000 0.981 (multiplicity 1)
Y 0.528 0.500 0.506 (multiplicity 1)
Y 0.745 0.251 0.246 (multiplicity 2)
Ta 0.250 0.225 0.237 (multiplicity 2)
Ta 0.498 0.000 0.476 (multiplicity 1)
Ta 0.758 0.248 0.747 (multiplicity 2)
O 0.032 0.237 0.128 (multiplicity 2)
O 0.067 0.269 0.374 (multiplicity 2)
O 0.246 0.500 0.886 (multiplicity 1)
O 0.250 0.000 0.873 (multiplicity 1)
O 0.258 0.500 0.180 (multiplicity 1)
O 0.269 0.500 0.618 (multiplicity 1)
O 0.286 0.000 0.344 (multiplicity 1)
O 0.294 0.000 0.596 (multiplicity 1)
O 0.464 0.226 0.124 (multiplicity 2)
O 0.470 0.255 0.381 (multiplicity 2)
O 0.551 0.284 0.859 (multiplicity 2)
O 0.603 0.184 0.602 (multiplicity 2)
O 0.743 0.000 0.388 (multiplicity 1)
O 0.744 0.500 0.117 (multiplicity 1)
O 0.747 0.500 0.674 (multiplicity 1)
O 0.751 0.000 0.113 (multiplicity 1)
O 0.756 0.000 0.817 (multiplicity 1)
O 0.763 0.500 0.382 (multiplicity 1)
O 0.951 0.281 0.873 (multiplicity 2)
O 0.977 0.222 0.630 (multiplicity 2)

Most intense lines, 10° ≤ 2θ ≤ 90°, in order of rising 2θ:
two_theta	intensity
14.53	12.7
28.09	8.8
29.35	100.0
34.02	30.4
48.72	7.4
48.91	38.4
57.93	13.0
58.09	25.4
79.32	6.9
81.81	4.7